Record 1
This entry pairs a crystal structure of FeCo5Rh2 with its computed X-ray powder pattern. Radiation: Cu Kα (λ = 1.5418 Å). Structure: a DFT-relaxed cell (PBE, Alexandria).
Lines closer than 0.1° are merged.

Largest 8 diffraction maxima, low angle first, 10 to 90 degrees two-theta:
12.41 deg, 7.132 Å, I 7.8; 36.81 deg, 2.442 Å, I 5.7; 43.07 deg, 2.100 Å, I 100.0; 49.60 deg, 1.838 Å, I 32.8; 51.24 deg, 1.783 Å, I 14.2; 72.77 deg, 1.300 Å, I 9.7; 74.09 deg, 1.280 Å, I 17.9; 88.47 deg, 1.105 Å, I 22.8

Structural model:
Cell: 7.591 7.591 7.591 Å, 151.98 151.98 40.05°
Sites, in units of the cell vectors:
Fe1 0.000 0.000 0.000
Co1 0.119 0.619 0.500
Co2 0.381 0.881 0.500
Co3 0.500 0.500 0.000
Co4 0.619 0.119 0.500
Co5 0.881 0.381 0.500
Rh1 0.249 0.249 0.000
Rh2 0.751 0.751 0.000

Record 2
This entry pairs a crystal structure of Ac3InCu4 with its computed X-ray powder pattern. Radiation: Cu Kα (λ = 1.5418 Å). Structure: a DFT-relaxed cell (PBE, Alexandria).
Lines closer than 0.1° are merged.

Largest 8 diffraction maxima, low angle first, 10 to 90 degrees two-theta:
21.92 deg, 4.056 Å, I 30.2; 27.36 deg, 3.260 Å, I 100.0; 33.99 deg, 2.638 Å, I 19.0; 35.03 deg, 2.562 Å, I 17.1; 35.62 deg, 2.521 Å, I 26.2; 41.98 deg, 2.152 Å, I 19.2; 48.39 deg, 1.881 Å, I 18.7; 53.63 deg, 1.709 Å, I 18.8

Structural model:
Cell: 8.699 8.699 8.699 Å, 151.35 136.02 53.33°
Sites, in units of the cell vectors:
Ac1 0.000 0.000 0.000
Ac2 0.310 0.810 0.500
Ac3 0.690 0.190 0.500
In1 0.500 0.500 0.000
Cu1 0.065 0.377 0.689
Cu2 0.312 0.623 0.689
Cu3 0.688 0.377 0.311
Cu4 0.935 0.623 0.311

Question: Which formula does entry 1 have?
Answer: FeCo5Rh2